Entry 1:
The following is a calculated powder XRD pattern of Y3UHg3Te8. It was derived from a cell relaxed with GGA-PBE, using Cu Ka.
Lines closer than 0.1° are merged.

The 10 most intense peaks (10 to 90 degrees two-theta), low angle first:
two_theta  I_rel
12.3  20
23.2  8
27.8  100
37.6  28
37.6  13
41.6  34
50.8  19
62.0  10
67.7  16
73.3  11

```
data_Y3UHg3Te8
_cell_length_a 8.675
_cell_length_b 8.675
_cell_length_c 9.659
_cell_angle_alpha 116.62
_cell_angle_beta 116.62
_cell_angle_gamma 60.00
_space_group_name_H-M_alt 'P 1'
_space_group_IT_number 1
_space_group_name_Hall 'P 1'
loop_
_atom_site_label
_atom_site_type_symbol
_atom_site_fract_x
_atom_site_fract_y
_atom_site_fract_z
_atom_site_occupancy
Y1 Y 0.000 0.000 0.000 1
Y2 Y 0.000 0.500 0.000 1
Y3 Y 0.500 0.000 0.000 1
U1 U 0.500 0.500 0.000 1
Hg1 Hg 0.000 0.500 0.500 1
Hg2 Hg 0.500 0.000 0.500 1
Hg3 Hg 0.500 0.500 0.500 1
Te1 Te 0.239 0.239 0.216 1
Te2 Te 0.249 0.732 0.213 1
Te3 Te 0.268 0.268 0.787 1
Te4 Te 0.268 0.751 0.787 1
Te5 Te 0.732 0.249 0.213 1
Te6 Te 0.732 0.732 0.213 1
Te7 Te 0.751 0.268 0.787 1
Te8 Te 0.761 0.761 0.784 1
```



Entry 2:
The following is a calculated powder XRD pattern of ZnHg3Te4. It was derived from a cell relaxed with GGA-PBE, using Cu Ka.
Lines closer than 0.1° are merged.

The 10 most intense peaks (10 to 90 degrees two-theta), low angle first:
two_theta  I_rel
23.6  100
39.0  79
46.1  50
56.4  13
62.0  21
70.7  27
75.7  11
83.9  8
88.7  10
88.8  5

```
data_ZnHg3Te4
_cell_length_a 6.528
_cell_length_b 6.528
_cell_length_c 13.037
_cell_angle_alpha 90.00
_cell_angle_beta 90.00
_cell_angle_gamma 90.00
_space_group_name_H-M_alt 'P 1'
_space_group_IT_number 1
_space_group_name_Hall 'P 1'
loop_
_atom_site_label
_atom_site_type_symbol
_atom_site_fract_x
_atom_site_fract_y
_atom_site_fract_z
_atom_site_occupancy
Zn1 Zn 0.000 0.000 0.000 1
Zn2 Zn 0.500 0.500 0.500 1
Hg1 Hg 0.000 0.000 0.500 1
Hg2 Hg 0.000 0.500 0.250 1
Hg3 Hg 0.000 0.500 0.750 1
Hg4 Hg 0.500 0.000 0.250 1
Hg5 Hg 0.500 0.000 0.750 1
Hg6 Hg 0.500 0.500 0.000 1
Te1 Te 0.237 0.237 0.881 1
Te2 Te 0.237 0.763 0.119 1
Te3 Te 0.263 0.263 0.381 1
Te4 Te 0.263 0.737 0.619 1
Te5 Te 0.737 0.263 0.619 1
Te6 Te 0.737 0.737 0.381 1
Te7 Te 0.763 0.237 0.119 1
Te8 Te 0.763 0.763 0.881 1
```